[1]
Calculated PXRD pattern
Compound: LaBC
Radiation: Cu Kα, 1.54184 Å
Structure: a crystal structure in the Materials Project, relaxed with PBE

Structural model:
Unit cell a=8.680 b=8.707 c=12.394 alpha=90.00 beta=90.00 gamma=90.00
Space group P2_12_12_1 (No. 19)
Inequivalent atoms, fractional coordinates:
La 0.051 0.098 0.142 x4
La 0.061 0.697 0.632 x4
La 0.160 0.591 0.903 x4
La 0.160 0.994 0.420 x4
La 0.246 0.289 0.674 x4
B 0.019 0.887 0.960 x4
B 0.062 0.302 0.321 x4
B 0.098 0.970 0.742 x4
B 0.117 0.397 0.214 x4
B 0.185 0.310 0.993 x4
C 0.026 0.309 0.438 x4
C 0.055 0.890 0.843 x4
C 0.141 0.998 0.630 x4
C 0.146 0.393 0.095 x4
C 0.246 0.297 0.883 x4

Peak list (12 most intense, 2θ = 10–90°, in order of falling intensity)
2theta, d (Å), I/Imax, (hkl)
33.40, 2.682, 100, 3 1 1
31.61, 2.830, 85, 2 1 3
24.00, 3.709, 72, 2 1 1
27.06, 3.295, 49, 1 2 2
28.81, 3.098, 38, 0 0 4
35.70, 2.515, 35, 1 3 2
30.64, 2.918, 32, 1 0 4
47.31, 1.921, 31, 2 4 1
22.86, 3.890, 29, 1 2 0
32.53, 2.752, 28, 1 3 0
37.09, 2.424, 22, 1 2 4
49.54, 1.840, 22, 3 1 5

---

[2]
Calculated PXRD pattern
Compound: MgTiP2O7
Radiation: Cu Kα, 1.54184 Å
Structure: a crystal structure in the Materials Project, relaxed with PBE

Structural model:
Unit cell a=7.049 b=8.631 c=9.234 alpha=90.00 beta=113.64 gamma=90.00
Space group P2_1/c (No. 14)
Inequivalent atoms, fractional coordinates:
Mg 0.196 0.060 0.318 x4
Ti 0.277 0.069 0.901 x4
P 0.027 0.721 0.964 x4
P 0.437 0.739 0.252 x4
O 0.015 0.091 0.659 x4
O 0.043 0.618 0.396 x4
O 0.127 0.223 0.455 x4
O 0.248 0.675 0.096 x4
O 0.381 0.241 0.300 x4
O 0.382 0.607 0.802 x4
O 0.472 0.609 0.374 x4

Peak list (12 most intense, 2θ = 10–90°, in order of falling intensity)
2theta, d (Å), I/Imax, (hkl)
28.82, 3.098, 100, 1 2 -2
29.53, 3.025, 81, 1 0 2
29.14, 3.064, 74, 2 1 -2
41.78, 2.162, 28, 2 3 -2
57.07, 1.614, 24, 3 3 -4
34.70, 2.585, 22, 2 2 0
16.99, 5.220, 18, 1 1 -1
41.09, 2.197, 15, 1 1 3
20.58, 4.316, 14, 0 2 0
47.89, 1.899, 14, 0 2 4
30.86, 2.897, 14, 1 1 -3
34.10, 2.629, 13, 1 3 0

---

[3]
Calculated PXRD pattern
Compound: Tm3Os
Radiation: Cu Kα, 1.54184 Å
Structure: a crystal structure in the Materials Project, relaxed with PBE

Structural model:
Unit cell a=7.337 b=8.929 c=6.219 alpha=90.00 beta=90.00 gamma=90.00
Space group Pnma (No. 62)
Inequivalent atoms, fractional coordinates:
Tm 0.040 0.250 0.132 x4
Tm 0.175 0.062 0.668 x8
Os 0.117 0.750 0.461 x4

Peak list (12 most intense, 2θ = 10–90°, in order of falling intensity)
2theta, d (Å), I/Imax, (hkl)
32.85, 2.726, 100, 1 1 2
35.61, 2.521, 86, 1 3 1
34.78, 2.579, 83, 2 2 1
33.37, 2.685, 75, 0 3 1
31.56, 2.834, 67, 2 2 0
38.97, 2.311, 52, 2 3 0
50.08, 1.822, 50, 1 2 3
39.60, 2.276, 49, 3 0 1
30.00, 2.979, 47, 2 1 1
31.24, 2.863, 43, 1 0 2
39.30, 2.293, 40, 2 1 2
35.17, 2.552, 40, 0 2 2

---

[4]
Calculated PXRD pattern
Compound: EuHfNbSnO6
Radiation: Cu Kα, 1.54184 Å
Structure: a crystal structure in the Materials Project, relaxed with PBE

Structural model:
Unit cell a=8.228 b=8.228 c=8.228 alpha=90.00 beta=90.00 gamma=90.00
Space group F-43m (No. 216)
Inequivalent atoms, fractional coordinates:
Eu 0.000 0.000 0.000 x4
Hf 0.250 0.250 0.750 x4
Nb 0.250 0.250 0.250 x4
Sn 0.000 0.000 0.500 x4
O 0.002 0.250 0.250 x24

Peak list (12 most intense, 2θ = 10–90°, in order of falling intensity)
2theta, d (Å), I/Imax, (hkl)
30.74, 2.909, 100, 2 2 0
54.65, 1.679, 41, 4 2 2
44.02, 2.057, 29, 4 0 0
89.04, 1.099, 22, 6 4 2
64.02, 1.454, 18, 4 4 0
72.68, 1.301, 18, 6 2 0
80.96, 1.188, 6, 4 4 4
18.68, 4.750, 6, 1 1 1
36.21, 2.481, 4, 3 1 1
48.21, 1.888, 2, 3 3 1
37.88, 2.375, 2, 2 2 2
58.27, 1.583, 1, 3 3 3

---

[5]
Calculated PXRD pattern
Compound: Np3B
Radiation: Cu Kα, 1.54184 Å
Structure: a crystal structure in the Materials Project, relaxed with PBE

Structural model:
Unit cell a=6.248 b=6.248 c=6.248 alpha=90.00 beta=90.00 gamma=90.00
Space group Fm-3m (No. 225)
Inequivalent atoms, fractional coordinates:
Np 0.000 0.000 0.000 x4
Np 0.250 0.250 0.250 x8
B 0.000 0.000 0.500 x4

Peak list (11 most intense, 2θ = 10–90°, in order of falling intensity)
2theta, d (Å), I/Imax, (hkl)
40.85, 2.209, 100, 2 2 0
74.39, 1.275, 36, 4 2 2
24.68, 3.607, 24, 1 1 1
59.15, 1.562, 17, 4 0 0
48.32, 1.884, 13, 3 1 1
28.57, 3.124, 13, 2 0 0
88.54, 1.104, 12, 4 4 0
65.08, 1.433, 5, 3 3 1
66.99, 1.397, 5, 4 2 0
79.76, 1.202, 4, 5 1 1
50.61, 1.804, 4, 2 2 2

---

[6]
Calculated PXRD pattern
Compound: NdVGe3
Radiation: Cu Kα, 1.54184 Å
Structure: a crystal structure in the Materials Project, relaxed with PBE

Structural model:
Unit cell a=6.2638 b=6.2638 c=5.6258 alpha=90.00 beta=90.00 gamma=120.00
Space group P6_3/mmc (No. 194)
Inequivalent atoms, fractional coordinates:
Nd 0.3333 0.6667 0.2500 x2
V 0.0000 0.0000 0.0000 x2
Ge 0.1944 0.3887 0.7500 x6

Peak list (12 most intense, 2θ = 10–90°, in order of falling intensity)
2theta, d (Å), I/Imax, (hkl)
36.79, 2.443, 100, 2 0 1
46.51, 1.952, 29, 2 0 2
31.81, 2.813, 29, 0 0 2
59.97, 1.542, 24, 2 0 3
28.50, 3.132, 22, 1 1 0
35.96, 2.497, 20, 1 0 2
58.98, 1.566, 17, 2 2 0
47.18, 1.926, 15, 2 1 1
33.03, 2.712, 12, 2 0 0
68.59, 1.368, 11, 2 2 2
71.57, 1.318, 10, 4 0 1
85.28, 1.138, 9, 3 2 2

---

[7]
Calculated PXRD pattern
Compound: TaSnS2
Radiation: Cu Kα, 1.54184 Å
Structure: a crystal structure in the Materials Project, relaxed with PBE

Structural model:
Unit cell a=3.3409 b=3.3409 c=17.6477 alpha=90.00 beta=90.00 gamma=120.00
Space group P6_3/mmc (No. 194)
Inequivalent atoms, fractional coordinates:
Ta 0.3333 0.6667 0.2500 x2
Sn 0.0000 0.0000 0.0000 x2
S 0.0000 0.0000 0.1616 x4

Peak list (12 most intense, 2θ = 10–90°, in order of falling intensity)
2theta, d (Å), I/Imax, (hkl)
20.13, 4.412, 100, 0 0 4
43.89, 2.063, 92, 1 0 6
32.57, 2.749, 92, 1 0 2
31.33, 2.855, 74, 1 0 1
10.02, 8.824, 58, 0 0 2
34.55, 2.596, 57, 1 0 3
54.97, 1.670, 42, 1 1 0
40.31, 2.238, 37, 1 0 5
59.14, 1.562, 36, 1 1 4
70.75, 1.332, 25, 1 1 8
88.61, 1.104, 25, 1 1 12
47.86, 1.901, 23, 1 0 7